Record 1
# Sc2GaAg
Theoretical powder X-ray diffraction pattern, λ = 1.5418 Å (Cu Kα). Input: a cell relaxed with PBE.
Intensities are scaled so that the largest is 100.

Principal peaks in the range 10 to 90 degrees two-theta, by angle:
2θ (°)	I (rel.)	hkl
26.1	15	0 2 0
37.3	100	2 2 0
37.4	50	2 0 2
67.3	32	2 4 2
67.5	16	4 2 2
79.7	10	4 4 0

Structure:
```
data_Sc2GaAg
_cell_length_a 6.7827
_cell_length_b 6.8291
_cell_length_c 6.8148
_cell_angle_alpha 90.00
_cell_angle_beta 90.00
_cell_angle_gamma 90.00
_symmetry_space_group_name_H-M 'I m m a'
_symmetry_Int_Tables_number 74
_symmetry_space_group_name_Hall '-I 2b 2'
loop_
_atom_site_label
_atom_site_type_symbol
_atom_site_fract_x
_atom_site_fract_y
_atom_site_fract_z
Sc1 Sc 0.2496 0.0000 0.0000
Ga1 Ga 0.0000 0.2500 0.2504
Ag1 Ag 0.0000 0.2500 0.7492
```



Record 2
# Y4Lu3Ni2Te2
Theoretical powder X-ray diffraction pattern, λ = 1.5418 Å (Cu Kα). Input: a cell relaxed with PBE.
Intensities are scaled so that the largest is 100.

Principal peaks in the range 10 to 90 degrees two-theta, by angle:
2θ (°)	I (rel.)	hkl
29.1	27	1 3 0
30.4	70	1 1 2
32.9	65	0 3 3
34.3	100	1 4 1
51.4	31	1 7 2
59.0	29	2 3 3

Structure:
```
data_Y4Lu3Ni2Te2
_cell_length_a 3.8235
_cell_length_b 15.4615
_cell_length_c 9.6264
_cell_angle_alpha 90.00
_cell_angle_beta 90.00
_cell_angle_gamma 90.00
_symmetry_space_group_name_H-M 'I m m 2'
_symmetry_Int_Tables_number 44
_symmetry_space_group_name_Hall 'I 2 -2'
loop_
_atom_site_label
_atom_site_type_symbol
_atom_site_fract_x
_atom_site_fract_y
_atom_site_fract_z
Y1 Y 0.0000 0.1313 0.0000
Y2 Y 0.0000 0.3142 0.2015
Lu1 Lu 0.0000 0.0000 0.5784
Lu2 Lu 0.0000 0.3555 0.8556
Ni1 Ni 0.0000 0.2344 0.5033
Te1 Te 0.0000 0.0000 0.2465
Te2 Te 0.0000 0.5000 0.3415
```



Record 3
# LaYAg2Sb4
Theoretical powder X-ray diffraction pattern, λ = 1.5418 Å (Cu Kα). Input: a cell relaxed with PBE.
Intensities are scaled so that the largest is 100.

Principal peaks in the range 10 to 90 degrees two-theta, by angle:
2θ (°)	I (rel.)	hkl
26.4	14	1 0 2
33.4	100	1 1 2
33.9	13	0 0 4
41.0	35	2 0 0
54.2	13	2 0 4
69.9	22	3 1 2

Structure:
```
data_LaYAg2Sb4
_cell_length_a 4.3976
_cell_length_b 4.3976
_cell_length_c 10.5832
_cell_angle_alpha 90.00
_cell_angle_beta 90.00
_cell_angle_gamma 90.00
_symmetry_space_group_name_H-M 'P 4 m m'
_symmetry_Int_Tables_number 99
_symmetry_space_group_name_Hall 'P 4 -2'
loop_
_atom_site_label
_atom_site_type_symbol
_atom_site_fract_x
_atom_site_fract_y
_atom_site_fract_z
La1 La 0.0000 0.0000 0.0000
Y1 Y 0.5000 0.5000 0.4766
Ag1 Ag 0.0000 0.5000 0.7308
Sb1 Sb 0.0000 0.0000 0.5530
Sb2 Sb 0.0000 0.5000 0.2446
Sb3 Sb 0.5000 0.5000 0.9104
```



Record 4
# NdGaGePtAu
Theoretical powder X-ray diffraction pattern, λ = 1.5418 Å (Cu Kα). Input: a cell relaxed with PBE.
Intensities are scaled so that the largest is 100.

Principal peaks in the range 10 to 90 degrees two-theta, by angle:
2θ (°)	I (rel.)	hkl
29.8	40	1 1 1
33.2	65	1 0 3
33.5	100	1 1 2
40.7	81	2 0 0
45.9	38	1 1 4
53.5	34	2 1 3

Structure:
```
data_NdGaGePtAu
_cell_length_a 4.4386
_cell_length_b 4.4386
_cell_length_c 10.1850
_cell_angle_alpha 90.00
_cell_angle_beta 90.00
_cell_angle_gamma 90.00
_symmetry_space_group_name_H-M 'P 4/n m m'
_symmetry_Int_Tables_number 129
loop_
_symmetry_equiv_pos_as_xyz
'x,y,z'
'-x,-y,-z'
'-y+1/2,x,z'
'y+1/2,-x,-z'
'-x+1/2,-y+1/2,z'
'x+1/2,y+1/2,-z'
'y,-x+1/2,z'
'-y,x+1/2,-z'
'x+1/2,-y,-z'
'-x+1/2,y,z'
'-y,-x,-z'
'y,x,z'
'-x,y+1/2,-z'
'x,-y+1/2,z'
'y+1/2,x+1/2,-z'
'-y+1/2,-x+1/2,z'
loop_
_atom_site_label
_atom_site_type_symbol
_atom_site_fract_x
_atom_site_fract_y
_atom_site_fract_z
Nd1 Nd 0.2500 0.2500 0.2399
Ga1 Ga 0.2500 0.2500 0.6399
Ge1 Ge 0.2500 0.7500 0.0000
Pt1 Pt 0.2500 0.2500 0.8823
Au1 Au 0.2500 0.7500 0.5000
```



Record 5
# Sr2TaIrN4O2
Theoretical powder X-ray diffraction pattern, λ = 1.5418 Å (Cu Kα). Input: a cell relaxed with PBE.
Intensities are scaled so that the largest is 100.

Principal peaks in the range 10 to 90 degrees two-theta, by angle:
2θ (°)	I (rel.)	hkl
22.2	27	1 1 0
31.6	100	2 0 0
31.7	20	1 1 2
45.3	21	0 0 4
56.2	12	1 3 -2
56.3	20	3 1 -2

Structure:
```
data_Sr2TaIrN4O2
_cell_length_a 5.6536
_cell_length_b 5.6550
_cell_length_c 8.0032
_cell_angle_alpha 90.29
_cell_angle_beta 90.10
_cell_angle_gamma 90.16
_symmetry_space_group_name_H-M 'P 1'
_symmetry_Int_Tables_number 1
_symmetry_space_group_name_Hall 'P 1'
loop_
_atom_site_label
_atom_site_type_symbol
_atom_site_fract_x
_atom_site_fract_y
_atom_site_fract_z
Sr1 Sr 0.0000 0.0000 0.0000
Sr2 Sr 0.0004 0.0044 0.5028
Sr3 Sr 0.4847 0.5079 0.5030
Sr4 Sr 0.4866 0.5031 0.0014
Ta1 Ta 0.4941 0.0097 0.7529
Ta2 Ta 0.9850 0.5153 0.2450
Ir1 Ir 0.5038 0.9987 0.2678
Ir2 Ir 0.9906 0.4796 0.7476
N1 N 0.0024 0.4975 0.9946
N2 N 0.2456 0.7695 0.2561
N3 N 0.2544 0.2732 0.7414
N4 N 0.5068 0.9957 0.5043
N5 N 0.7290 0.2516 0.2494
N6 N 0.7376 0.7609 0.2419
N7 N 0.7582 0.2371 0.7566
N8 N 0.9715 0.5179 0.5108
O1 O 0.2151 0.7750 0.7504
O2 O 0.2388 0.2609 0.2744
O3 O 0.4648 0.0150 0.0048
O4 O 0.7102 0.7273 0.7715
```



Record 6
# Dy3Ho3Bi2Os
Theoretical powder X-ray diffraction pattern, λ = 1.5418 Å (Cu Kα). Input: a cell relaxed with PBE.
Intensities are scaled so that the largest is 100.

Principal peaks in the range 10 to 90 degrees two-theta, by angle:
2θ (°)	I (rel.)	hkl
30.2	100	1 1 1
32.7	86	2 0 1
33.0	50	2 1 0
37.6	52	3 0 0
39.4	65	2 1 1
60.3	35	3 2 1

Structure:
```
data_Dy3Ho3Bi2Os
_cell_length_a 8.2876
_cell_length_b 8.2876
_cell_length_c 4.2366
_cell_angle_alpha 90.00
_cell_angle_beta 90.00
_cell_angle_gamma 120.00
_symmetry_space_group_name_H-M 'P -6 2 m'
_symmetry_Int_Tables_number 189
_symmetry_space_group_name_Hall 'P -6 -2'
loop_
_atom_site_label
_atom_site_type_symbol
_atom_site_fract_x
_atom_site_fract_y
_atom_site_fract_z
Dy1 Dy 0.0000 0.3866 0.0000
Ho1 Ho 0.0000 0.7667 0.5000
Bi1 Bi 0.3333 0.6667 0.5000
Os1 Os 0.0000 0.0000 0.0000
```



Record 7
# Na3NdDy2Pb3
Theoretical powder X-ray diffraction pattern, λ = 1.5418 Å (Cu Kα). Input: a cell relaxed with PBE.
Intensities are scaled so that the largest is 100.

Principal peaks in the range 10 to 90 degrees two-theta, by angle:
2θ (°)	I (rel.)	hkl
21.4	41	1 0 1
32.1	100	1 0 3
34.4	82	1 1 0
47.8	33	2 0 3
60.2	34	2 1 3
63.5	27	1 1 6

Structure:
```
data_Na3NdDy2Pb3
_cell_length_a 5.2177
_cell_length_b 5.2177
_cell_length_c 10.6169
_cell_angle_alpha 90.00
_cell_angle_beta 90.00
_cell_angle_gamma 120.00
_symmetry_space_group_name_H-M 'P -6 m 2'
_symmetry_Int_Tables_number 187
_symmetry_space_group_name_Hall 'P -6 2'
loop_
_atom_site_label
_atom_site_type_symbol
_atom_site_fract_x
_atom_site_fract_y
_atom_site_fract_z
Na1 Na 0.0000 0.0000 0.0000
Na2 Na 0.3333 0.6667 0.3124
Nd1 Nd 0.6667 0.3333 0.5000
Dy1 Dy 0.6667 0.3333 0.1640
Pb1 Pb 0.0000 0.0000 0.3348
Pb2 Pb 0.3333 0.6667 0.0000
```



Record 8
# Rb7Fe4Te8
Theoretical powder X-ray diffraction pattern, λ = 1.5418 Å (Cu Kα). Input: a cell relaxed with PBE.
Intensities are scaled so that the largest is 100.

Principal peaks in the range 10 to 90 degrees two-theta, by angle:
2θ (°)	I (rel.)	hkl
10.0	10	2 0 0
11.3	18	0 0 2
28.3	100	6 0 -4
28.9	19	2 0 4
50.8	9	0 2 8
58.6	9	4 4 -8

Structure:
```
data_Rb7Fe4Te8
_cell_length_a 19.9333
_cell_length_b 8.9757
_cell_length_c 17.6679
_cell_angle_alpha 90.00
_cell_angle_beta 117.46
_cell_angle_gamma 90.00
_symmetry_space_group_name_H-M 'C 1 2/c 1'
_symmetry_Int_Tables_number 15
_symmetry_space_group_name_Hall '-C 2yc'
loop_
_atom_site_label
_atom_site_type_symbol
_atom_site_fract_x
_atom_site_fract_y
_atom_site_fract_z
Rb1 Rb 0.0000 0.2447 0.2500
Rb2 Rb 0.0034 0.2475 0.4912
Rb3 Rb 0.2415 0.2523 0.1164
Rb4 Rb 0.2447 0.2617 0.3668
Fe1 Fe 0.0513 0.1535 0.7255
Fe2 Fe 0.0513 0.3559 0.8276
Te1 Te 0.0876 0.0827 0.8841
Te2 Te 0.0879 0.4263 0.7074
Te3 Te 0.1353 0.0133 0.1853
Te4 Te 0.1367 0.4741 0.4524
```